Computed powder XRD pattern
Compound: BaTeAs2O8
Radiation: λ = 1.5418 Å (Cu Kα)
Structure: a PBE-relaxed structure
Intensities are scaled so that the largest is 100.

Atomic structure:
```
12
Lattice="2.5566 1.4761 8.3734 -2.5566 1.4761 8.3734 0.0000 -2.9521 8.3734" Properties=species:S:1:pos:R:3 pbc="T T T"
Ba 0.0000 0.0000 0.0000
Te 0.0000 0.0000 12.5601
As 0.0000 0.0000 6.1507
As 0.0000 0.0000 18.9694
O -0.9104 -1.4007 11.1361
O -0.7578 -1.4888 13.9840
O 0.0000 0.0000 7.8473
O -0.7578 1.4888 11.1361
O -0.9104 1.4007 13.9840
O 0.0000 0.0000 17.2729
O 1.6682 -0.0881 11.1361
O 1.6682 0.0881 13.9840
```

Main lines, low angle first (15° ≤ 2θ ≤ 90°):
d = 3.619 Å, rel. 100; d = 2.559 Å, rel. 68; d = 2.182 Å, rel. 10; d = 2.088 Å, rel. 20; d = 1.810 Å, rel. 12; d = 1.618 Å, rel. 38; d = 1.480 Å, rel. 7; d = 1.477 Å, rel. 23; d = 1.206 Å, rel. 13; d = 1.145 Å, rel. 6